BaPrI: theoretical X-ray diffraction stick pattern (Cu Kα (weighted mean of Kα1 and Kα2)), based on a cell relaxed with PBE.
Kinematic intensities with the Lorentz-polarization factor, no thermal factor.

Crystal structure
Lattice parameters (Å, degrees): 16.5949 4.1465 4.1465 59.99 90.00 90.00
Atoms (fractional coordinates):
Ba: 0.1939 0.0000 0.0000
Ba: 0.8061 0.0000 0.0000
Pr: 0.0000 0.6674 0.6674
Pr: 0.5000 0.9991 0.9991
I: 0.3640 0.6658 0.6658
I: 0.6360 0.6658 0.6658

Peak list (6 most intense, 10° ≤ 2θ ≤ 90°, low angle first)
| 2theta | I (rel.) |
| --- | --- |
| 24.80 | 32 |
| 29.66 | 100 |
| 43.66 | 29 |
| 50.84 | 14 |
| 53.67 | 19 |
| 71.59 | 16 |

---

Rb2CdHF6: theoretical X-ray diffraction stick pattern (Cu Kα (weighted mean of Kα1 and Kα2)), based on a cell relaxed with PBE.
Kinematic intensities with the Lorentz-polarization factor, no thermal factor.

Crystal structure
Lattice parameters (Å, degrees): 5.2555 10.2357 6.5928 90.00 90.00 90.00
Atoms (fractional coordinates):
Rb: 0.2500 0.0478 0.2223
Rb: 0.2500 0.4522 0.2223
Rb: 0.7500 0.5478 0.7777
Rb: 0.7500 0.9522 0.7777
Cd: 0.2500 0.2500 0.7238
Cd: 0.7500 0.7500 0.2762
H: 0.2500 0.7500 0.5454
H: 0.7500 0.2500 0.4546
F: 0.0314 0.7500 0.5448
F: 0.0430 0.7500 0.0329
F: 0.2500 0.0424 0.7303
F: 0.2500 0.4576 0.7303
F: 0.4570 0.7500 0.0329
F: 0.4686 0.7500 0.5448
F: 0.5314 0.2500 0.4552
F: 0.5430 0.2500 0.9671
F: 0.7500 0.5424 0.2697
F: 0.7500 0.9576 0.2697
F: 0.9570 0.2500 0.9671
F: 0.9686 0.2500 0.4552

Peak list (6 most intense, 10° ≤ 2θ ≤ 90°, low angle first)
| 2theta | I (rel.) |
| --- | --- |
| 18.98 | 64 |
| 27.05 | 32 |
| 27.84 | 100 |
| 29.48 | 41 |
| 33.26 | 44 |
| 44.07 | 39 |

---

Li2Mg4Cd: theoretical X-ray diffraction stick pattern (Cu Kα (weighted mean of Kα1 and Kα2)), based on a cell relaxed with PBE.
Kinematic intensities with the Lorentz-polarization factor, no thermal factor.

Crystal structure
Lattice parameters (Å, degrees): 7.9177 7.9177 7.9177 137.48 102.19 92.98
Atoms (fractional coordinates):
Li: 0.0000 0.0000 0.5000
Li: 0.0000 0.5000 0.0000
Li: 0.4792 0.2292 0.2500
Li: 0.5208 0.7708 0.7500
Mg: 0.1451 0.6499 0.4952
Mg: 0.2594 0.2696 0.5102
Mg: 0.2594 0.7491 0.9898
Mg: 0.3453 0.3501 0.9952
Mg: 0.6547 0.6499 0.0048
Mg: 0.7406 0.2509 0.0102
Mg: 0.7406 0.7304 0.4898
Mg: 0.8549 0.3501 0.5048
Cd: 0.0000 0.0000 0.0000
Cd: 0.5000 0.0000 0.5000

Peak list (6 most intense, 10° ≤ 2θ ≤ 90°, low angle first)
| 2theta | I (rel.) |
| --- | --- |
| 16.26 | 98 |
| 17.45 | 55 |
| 29.08 | 62 |
| 34.32 | 90 |
| 36.12 | 100 |
| 39.85 | 67 |

---

KScAs2O8: theoretical X-ray diffraction stick pattern (Cu Kα (weighted mean of Kα1 and Kα2)), based on a cell relaxed with PBE.
Kinematic intensities with the Lorentz-polarization factor, no thermal factor.

Crystal structure
Lattice parameters (Å, degrees): 5.6675 5.6675 7.5838 90.00 90.00 120.00
Atoms (fractional coordinates):
K: 0.0000 0.0000 0.0000
Sc: 0.0000 0.0000 0.5000
As: 0.3333 0.6667 0.7366
As: 0.6667 0.3333 0.2634
O: 0.1594 0.3358 0.6681
O: 0.1764 0.8406 0.6681
O: 0.3333 0.6667 0.9641
O: 0.3358 0.1764 0.3319
O: 0.6642 0.8236 0.6681
O: 0.6667 0.3333 0.0359
O: 0.8236 0.1594 0.3319
O: 0.8406 0.6642 0.3319

Peak list (6 most intense, 10° ≤ 2θ ≤ 90°, low angle first)
| 2theta | I (rel.) |
| --- | --- |
| 21.57 | 100 |
| 29.77 | 31 |
| 31.57 | 38 |
| 43.95 | 17 |
| 50.66 | 18 |
| 58.58 | 14 |

---

In3Pb2Br7: theoretical X-ray diffraction stick pattern (Cu Kα (weighted mean of Kα1 and Kα2)), based on a cell relaxed with PBE.
Kinematic intensities with the Lorentz-polarization factor, no thermal factor.

Crystal structure
Lattice parameters (Å, degrees): 14.5270 14.5270 8.5491 90.00 90.00 30.67
Atoms (fractional coordinates):
In: 0.0594 0.5596 0.6795
In: 0.2249 0.7751 0.5000
In: 0.4404 0.9406 0.6795
In: 0.5596 0.0594 0.1795
In: 0.7751 0.2249 0.0000
In: 0.9406 0.4404 0.1795
Pb: 0.1488 0.6466 0.0843
Pb: 0.3534 0.8512 0.0843
Pb: 0.6466 0.1488 0.5843
Pb: 0.8512 0.3534 0.5843
Br: 0.0013 0.8444 0.7676
Br: 0.0712 0.3360 0.5467
Br: 0.1556 0.9987 0.7676
Br: 0.2963 0.4495 0.3931
Br: 0.3360 0.0712 0.0467
Br: 0.3911 0.6089 0.1352
Br: 0.4495 0.2963 0.8931
Br: 0.5505 0.7037 0.3931
Br: 0.6089 0.3911 0.6352
Br: 0.6640 0.9288 0.5467
Br: 0.7037 0.5505 0.8931
Br: 0.8444 0.0013 0.2676
Br: 0.9288 0.6640 0.0467
Br: 0.9987 0.1556 0.2676

Peak list (6 most intense, 10° ≤ 2θ ≤ 90°, low angle first)
| 2theta | I (rel.) |
| --- | --- |
| 22.22 | 100 |
| 31.30 | 43 |
| 31.95 | 59 |
| 33.70 | 41 |
| 34.93 | 38 |
| 40.12 | 82 |

---

RbTlP2O8: theoretical X-ray diffraction stick pattern (Cu Kα (weighted mean of Kα1 and Kα2)), based on a cell relaxed with PBE.
Kinematic intensities with the Lorentz-polarization factor, no thermal factor.

Crystal structure
Lattice parameters (Å, degrees): 5.2213 5.2213 8.5726 90.00 90.00 120.00
Atoms (fractional coordinates):
Rb: 0.0000 0.0000 0.0000
Tl: 0.0000 0.0000 0.5000
P: 0.3333 0.6667 0.7153
P: 0.6667 0.3333 0.2847
O: 0.0683 0.3670 0.6630
O: 0.2986 0.9317 0.6630
O: 0.3333 0.6667 0.8960
O: 0.3670 0.2986 0.3370
O: 0.6330 0.7014 0.6630
O: 0.6667 0.3333 0.1040
O: 0.7014 0.0683 0.3370
O: 0.9317 0.6330 0.3370

Peak list (6 most intense, 10° ≤ 2θ ≤ 90°, low angle first)
| 2theta | I (rel.) |
| --- | --- |
| 10.32 | 42 |
| 19.63 | 69 |
| 22.23 | 44 |
| 28.70 | 100 |
| 34.35 | 37 |
| 45.35 | 29 |

---

CsZnAuO2: theoretical X-ray diffraction stick pattern (Cu Kα (weighted mean of Kα1 and Kα2)), based on a cell relaxed with PBE.
Kinematic intensities with the Lorentz-polarization factor, no thermal factor.

Crystal structure
Lattice parameters (Å, degrees): 6.9608 6.9608 5.5473 90.00 90.00 130.64
Atoms (fractional coordinates):
Cs: 0.2500 0.7500 0.7658
Cs: 0.7500 0.2500 0.2342
Zn: 0.2500 0.2500 0.0000
Zn: 0.7500 0.7500 0.0000
Au: 0.0000 0.0000 0.5000
Au: 0.5000 0.5000 0.5000
O: 0.0846 0.9154 0.1740
O: 0.4154 0.5846 0.1740
O: 0.5846 0.4154 0.8260
O: 0.9154 0.0846 0.8260

Peak list (6 most intense, 10° ≤ 2θ ≤ 90°, low angle first)
| 2theta | I (rel.) |
| --- | --- |
| 14.00 | 73 |
| 23.25 | 50 |
| 28.22 | 87 |
| 30.76 | 90 |
| 35.34 | 100 |
| 37.72 | 85 |

---

Hf2Mn3V: theoretical X-ray diffraction stick pattern (Cu Kα (weighted mean of Kα1 and Kα2)), based on a cell relaxed with PBE.
Kinematic intensities with the Lorentz-polarization factor, no thermal factor.

Crystal structure
Lattice parameters (Å, degrees): 4.9355 4.9355 4.9355 61.54 61.54 61.54
Atoms (fractional coordinates):
Hf: 0.1252 0.1252 0.1252
Hf: 0.8748 0.8748 0.8748
Mn: 0.0000 0.5000 0.5000
Mn: 0.5000 0.0000 0.5000
Mn: 0.5000 0.5000 0.0000
V: 0.5000 0.5000 0.5000

Peak list (6 most intense, 10° ≤ 2θ ≤ 90°, low angle first)
| 2theta | I (rel.) |
| --- | --- |
| 21.64 | 43 |
| 35.55 | 77 |
| 36.43 | 78 |
| 42.00 | 55 |
| 42.39 | 100 |
| 43.14 | 47 |

---

CaSnPdO4: theoretical X-ray diffraction stick pattern (Cu Kα (weighted mean of Kα1 and Kα2)), based on a cell relaxed with PBE.
Kinematic intensities with the Lorentz-polarization factor, no thermal factor.

Crystal structure
Lattice parameters (Å, degrees): 6.9004 6.9004 6.9004 127.02 126.57 78.59
Atoms (fractional coordinates):
Ca: 0.4053 0.1553 0.2500
Ca: 0.5947 0.8447 0.7500
Sn: 0.0000 0.5000 0.5000
Sn: 0.5000 0.5000 0.0000
Pd: 0.0000 0.0000 0.5000
Pd: 0.0000 0.5000 0.0000
O: 0.1667 0.7028 0.4639
O: 0.2611 0.2972 0.9639
O: 0.2739 0.3022 0.5283
O: 0.2739 0.7455 0.9717
O: 0.7261 0.2545 0.0283
O: 0.7261 0.6978 0.4717
O: 0.7389 0.7028 0.0361
O: 0.8333 0.2972 0.5361

Peak list (6 most intense, 10° ≤ 2θ ≤ 90°, low angle first)
| 2theta | I (rel.) |
| --- | --- |
| 16.62 | 81 |
| 28.95 | 69 |
| 33.41 | 92 |
| 33.58 | 100 |
| 41.32 | 43 |
| 54.25 | 79 |

---

RbPa2BeO8: theoretical X-ray diffraction stick pattern (Cu Kα (weighted mean of Kα1 and Kα2)), based on a cell relaxed with PBE.
Kinematic intensities with the Lorentz-polarization factor, no thermal factor.

Crystal structure
Lattice parameters (Å, degrees): 4.7622 4.7622 9.1666 90.00 90.00 120.00
Atoms (fractional coordinates):
Rb: 0.0000 0.0000 0.0000
Pa: 0.3333 0.6667 0.3566
Pa: 0.6667 0.3333 0.6434
Be: 0.0000 0.0000 0.5000
O: 0.1669 0.3338 0.6214
O: 0.1669 0.8331 0.6214
O: 0.3333 0.6667 0.1487
O: 0.3338 0.1669 0.3786
O: 0.6662 0.8331 0.6214
O: 0.6667 0.3333 0.8513
O: 0.8331 0.1669 0.3786
O: 0.8331 0.6662 0.3786

Peak list (6 most intense, 10° ≤ 2θ ≤ 90°, low angle first)
| 2theta | I (rel.) |
| --- | --- |
| 23.66 | 100 |
| 29.15 | 76 |
| 37.78 | 33 |
| 45.06 | 28 |
| 48.43 | 46 |
| 60.22 | 16 |

---

Tb5Bi4Ru: theoretical X-ray diffraction stick pattern (Cu Kα (weighted mean of Kα1 and Kα2)), based on a cell relaxed with PBE.
Kinematic intensities with the Lorentz-polarization factor, no thermal factor.

Crystal structure
Lattice parameters (Å, degrees): 7.6126 7.6126 7.6126 99.88 99.88 131.05
Atoms (fractional coordinates):
Tb: 0.0000 0.0000 0.0000
Tb: 0.3532 0.7132 0.8257
Tb: 0.5275 0.3532 0.6400
Tb: 0.7132 0.8875 0.3600
Tb: 0.8875 0.5275 0.1743
Bi: 0.0358 0.8205 0.6118
Bi: 0.2087 0.4240 0.3882
Bi: 0.4240 0.0358 0.2153
Bi: 0.8205 0.2087 0.7847
Ru: 0.5573 0.5573 0.0000

Peak list (6 most intense, 10° ≤ 2θ ≤ 90°, low angle first)
| 2theta | I (rel.) |
| --- | --- |
| 28.30 | 45 |
| 28.81 | 100 |
| 40.83 | 71 |
| 41.20 | 34 |
| 50.74 | 31 |
| 66.54 | 14 |

---

Cs2CuRhCl6: theoretical X-ray diffraction stick pattern (Cu Kα (weighted mean of Kα1 and Kα2)), based on a cell relaxed with PBE.
Kinematic intensities with the Lorentz-polarization factor, no thermal factor.

Crystal structure
Lattice parameters (Å, degrees): 7.5520 8.7374 8.4212 90.00 90.00 90.00
Atoms (fractional coordinates):
Cs: 0.2500 0.0143 0.2266
Cs: 0.2500 0.4857 0.2266
Cs: 0.7500 0.5143 0.7734
Cs: 0.7500 0.9857 0.7734
Cu: 0.2500 0.7500 0.6097
Cu: 0.7500 0.2500 0.3903
Rh: 0.2500 0.2500 0.7360
Rh: 0.7500 0.7500 0.2640
Cl: 0.0240 0.2500 0.5284
Cl: 0.0322 0.2500 0.9374
Cl: 0.2500 0.5285 0.7541
Cl: 0.2500 0.9715 0.7541
Cl: 0.4678 0.2500 0.9374
Cl: 0.4760 0.2500 0.5284
Cl: 0.5240 0.7500 0.4716
Cl: 0.5322 0.7500 0.0626
Cl: 0.7500 0.0285 0.2459
Cl: 0.7500 0.4715 0.2459
Cl: 0.9678 0.7500 0.0626
Cl: 0.9760 0.7500 0.4716

Peak list (6 most intense, 10° ≤ 2θ ≤ 90°, low angle first)
| 2theta | I (rel.) |
| --- | --- |
| 23.56 | 37 |
| 25.83 | 100 |
| 29.46 | 36 |
| 31.83 | 70 |
| 41.35 | 34 |
| 53.12 | 40 |